# Ba2Nd2FeCo3O12
Calculated powder XRD pattern, Cu Kα, 1.54184 Å. Input: a DFT-relaxed cell (GGA+U, Alexandria).
Neutral-atom scattering factors, no anomalous dispersion.

Atomic structure:
```
data_Ba2Nd2FeCo3O12
_symmetry_space_group_name_H-M 'A m m 2'
_symmetry_Int_Tables_number 38
_cell_length_a 3.9739
_cell_length_b 7.7910
_cell_length_c 15.6580
_cell_angle_alpha 90.00
_cell_angle_beta 90.00
_cell_angle_gamma 90.00
loop_
_symmetry_equiv_pos_as_xyz
'x,y,z'
'-x,-y,z'
'-x,y,z'
'x,-y,z'
'x,y+1/2,z+1/2'
'-x,-y+1/2,z+1/2'
'-x,y+1/2,z+1/2'
'x,-y+1/2,z+1/2'
loop_
_atom_site_label
_atom_site_fract_x
_atom_site_fract_y
_atom_site_fract_z
Ba1 0.0000 0.2435 0.0000
Nd1 0.0000 0.2482 0.7482
Fe1 0.5000 0.0000 0.3729
Co1 0.5000 0.0000 0.1267
Co2 0.5000 0.0000 0.6249
Co3 0.5000 0.0000 0.8704
O1 0.0000 0.0000 0.1407
O2 0.0000 0.0000 0.3668
O3 0.0000 0.0000 0.6382
O4 0.0000 0.0000 0.8563
O5 0.5000 0.0000 0.0018
O6 0.5000 0.0000 0.2500
O7 0.5000 0.0000 0.5058
O8 0.5000 0.0000 0.7443
O9 0.5000 0.2393 0.1356
O10 0.5000 0.2429 0.8626
```

The 10 most intense peaks (2θ = 10–80°), sorted by position:
(hkl)	two_theta	Rel. int.
1 0 4	32.14	100
0 2 4	32.42	48
1 2 4	39.75	25
2 0 0	45.66	17
0 0 8	46.39	15
0 4 0	46.63	15
2 2 4	57.11	19
1 2 8	57.58	20
1 4 4	57.73	19
2 4 0	67.32	9